This entry pairs a crystal structure of Cs2USi6O15 with its theoretical powder X-ray diffraction pattern. Radiation: Cu Kα (λ = 1.5418 Å). Structure: a PBE-relaxed structure.
Lines closer than 0.1° are merged.

Atomic structure:
a b c (Å): 7.4037 16.6555 13.6083
angles (deg): 90.00 90.00 90.00
Space group Cmc2_1 (No. 36)
Unique sites:
Cs1 0.0000 0.1112 0.0000 [4 per cell]
Cs2 0.0000 0.2285 0.3050 [4 per cell]
U1 0.0000 0.3706 0.6507 [4 per cell]
Si1 0.0000 0.3578 0.9235 [4 per cell]
Si2 0.0000 0.4552 0.3998 [4 per cell]
Si3 0.2052 0.1870 0.5784 [8 per cell]
Si4 0.2171 0.0426 0.7255 [8 per cell]
O1 0.0000 0.0479 0.7505 [4 per cell]
O2 0.0000 0.1629 0.5426 [4 per cell]
O3 0.0000 0.3364 0.8087 [4 per cell]
O4 0.0000 0.3896 0.4864 [4 per cell]
O5 0.0000 0.4542 0.9458 [4 per cell]
O6 0.1778 0.3174 0.9761 [8 per cell]
O7 0.1829 0.4428 0.3323 [8 per cell]
O8 0.2173 0.2759 0.6250 [8 per cell]
O9 0.2246 0.3801 0.1575 [8 per cell]
O10 0.2275 0.4587 0.6750 [8 per cell]

Largest 12 diffraction maxima, sorted by position, 2θ = 10–80°:
2θ 12.46, 7.103 Å, rel. 66, (0 2 1); 2θ 13.04, 6.788 Å, rel. 42, (0 0 2); 2θ 21.04, 4.223 Å, rel. 53, (1 3 1); 2θ 22.33, 3.982 Å, rel. 32, (0 4 1); 2θ 23.61, 3.768 Å, rel. 100, (1 1 3); 2θ 23.92, 3.719 Å, rel. 28, (1 3 2); 2θ 25.07, 3.552 Å, rel. 32, (0 4 2); 2θ 27.16, 3.283 Å, rel. 76, (2 2 1); 2θ 29.39, 3.039 Å, rel. 44, (1 1 4); 2θ 30.14, 2.965 Å, rel. 26, (1 5 1); 2θ 35.01, 2.563 Å, rel. 26, (2 4 2); 2θ 42.05, 2.149 Å, rel. 33, (3 1 3)